# 1
Calculated X-ray diffraction stick pattern
Compound: Li15Ga
Radiation: Cu Kα, 1.54184 Å
Structure: the PBE geometry in Alexandria
Neutral-atom scattering factors, no anomalous dispersion.

Crystal structure
```
data_Li15Ga
_chemical_formula_sum 'Li15 Ga1'
_symmetry_space_group_name_H-M 'P -6 m 2'
_symmetry_Int_Tables_number 187
_symmetry_space_group_name_Hall 'P -6 2'
_cell_length_a 5.9527
_cell_length_b 5.9527
_cell_length_c 9.8654
_cell_angle_alpha 90.00
_cell_angle_beta 90.00
_cell_angle_gamma 120.00
loop_
_atom_site_label
_atom_site_type_symbol
_atom_site_fract_x
_atom_site_fract_y
_atom_site_fract_z
_atom_site_occupancy
Li1 Li 0.0000 0.0000 0.0000 1
Li2 Li 0.0023 0.5012 0.5000 1
Li3 Li 0.3235 0.1617 0.2607 1
Li4 Li 0.3333 0.6667 0.2415 1
Li5 Li 0.5028 0.0057 0.0000 1
Ga1 Ga 0.0000 0.0000 0.5000 1
```

Top 10 peaks for 2θ = 10–90°, by angle:
d (Å), 2theta, I (rel.)
5.155, 17.20, 66.9
4.933, 17.98, 19.7
4.569, 19.43, 100.0
3.564, 24.98, 52.0
2.849, 31.39, 29.0
2.772, 32.29, 26.3
2.578, 34.81, 22.3
2.548, 35.22, 22.0
2.494, 36.01, 20.3
2.284, 39.44, 61.8

# 2
Calculated X-ray diffraction stick pattern
Compound: MgZrTl4
Radiation: Cu Kα, 1.54184 Å
Structure: the PBE geometry in Alexandria
Neutral-atom scattering factors, no anomalous dispersion.

Crystal structure
```
data_MgZrTl4
_chemical_formula_sum 'Mg4 Zr4 Tl16'
_symmetry_space_group_name_H-M 'F -4 3 m'
_symmetry_Int_Tables_number 216
_symmetry_space_group_name_Hall 'F -4 2 3'
_cell_length_a 8.7135
_cell_length_b 8.7135
_cell_length_c 8.7135
_cell_angle_alpha 90.00
_cell_angle_beta 90.00
_cell_angle_gamma 90.00
loop_
_atom_site_label
_atom_site_type_symbol
_atom_site_fract_x
_atom_site_fract_y
_atom_site_fract_z
_atom_site_occupancy
Mg1 Mg 0.0000 0.0000 0.0000 1
Zr1 Zr 0.2500 0.2500 0.2500 1
Tl1 Tl 0.1249 0.1249 0.6249 1
```

Top 10 peaks for 2θ = 10–90°, by angle:
d (Å), 2theta, I (rel.)
5.031, 17.63, 70.2
2.627, 34.13, 100.0
2.515, 35.69, 80.4
2.178, 41.45, 29.0
1.999, 45.37, 19.8
1.677, 54.74, 35.0
1.540, 60.06, 35.6
1.473, 63.12, 15.3
1.314, 71.87, 32.4
1.134, 85.62, 22.6

# 3
Calculated X-ray diffraction stick pattern
Compound: PuNiSn3
Radiation: Cu Kα, 1.54184 Å
Structure: the PBE geometry in Alexandria
Neutral-atom scattering factors, no anomalous dispersion.

Crystal structure
```
data_PuNiSn3
_chemical_formula_sum 'Pu4 Ni4 Sn12'
_symmetry_space_group_name_H-M 'I m m a'
_symmetry_Int_Tables_number 74
_symmetry_space_group_name_Hall '-I 2b 2'
_cell_length_a 4.8460
_cell_length_b 4.8547
_cell_length_c 20.2837
_cell_angle_alpha 90.00
_cell_angle_beta 90.00
_cell_angle_gamma 90.00
loop_
_atom_site_label
_atom_site_type_symbol
_atom_site_fract_x
_atom_site_fract_y
_atom_site_fract_z
_atom_site_occupancy
Pu1 Pu 0.0000 0.2500 0.0790 1
Ni1 Ni 0.0000 0.2500 0.6622 1
Sn1 Sn 0.0000 0.2500 0.3036 1
Sn2 Sn 0.0000 0.2500 0.5398 1
Sn3 Sn 0.0000 0.2500 0.8017 1
```

Top 10 peaks for 2θ = 10–90°, by angle:
d (Å), 2theta, I (rel.)
3.249, 27.45, 15.1
3.111, 28.70, 17.2
2.841, 31.49, 100.0
2.535, 35.40, 14.5
2.488, 36.11, 16.6
2.425, 37.07, 57.7
1.753, 52.19, 19.6
1.737, 52.71, 11.4
1.715, 53.43, 20.5
1.468, 63.35, 29.0

# 4
Calculated X-ray diffraction stick pattern
Compound: In6Se7
Radiation: Cu Kα, 1.54184 Å
Structure: the PBE geometry in Alexandria
Neutral-atom scattering factors, no anomalous dispersion.

Crystal structure
```
data_In6Se7
_chemical_formula_sum 'In12 Se14'
_symmetry_space_group_name_H-M 'P 1 21 1'
_symmetry_Int_Tables_number 4
_cell_length_a 9.6049
_cell_length_b 4.1310
_cell_length_c 18.0423
_cell_angle_alpha 90.00
_cell_angle_beta 100.91
_cell_angle_gamma 90.00
loop_
_symmetry_equiv_pos_as_xyz
'x,y,z'
'-x,y+1/2,-z'
loop_
_atom_site_label
_atom_site_type_symbol
_atom_site_fract_x
_atom_site_fract_y
_atom_site_fract_z
_atom_site_occupancy
In1 In 0.0176 0.0001 0.1031 1
In2 In 0.0730 0.0005 0.6269 1
In3 In 0.1805 0.5000 0.3140 1
In4 In 0.3285 0.9997 0.9664 1
In5 In 0.3528 0.5003 0.5471 1
In6 In 0.4772 0.0001 0.7736 1
Se1 Se 0.1203 0.0000 0.8431 1
Se2 Se 0.1645 0.0002 0.4955 1
Se3 Se 0.1697 0.4993 0.0327 1
Se4 Se 0.2400 0.0000 0.2277 1
Se5 Se 0.2500 0.5004 0.6813 1
Se6 Se 0.4433 0.5002 0.4083 1
Se7 Se 0.4703 0.4998 0.9074 1
```

Top 10 peaks for 2θ = 10–90°, by angle:
d (Å), 2theta, I (rel.)
3.749, 23.74, 43.9
3.130, 28.51, 48.0
3.081, 28.98, 31.5
2.997, 29.81, 76.4
2.961, 30.19, 38.6
2.903, 30.80, 100.0
2.824, 31.68, 39.9
2.707, 33.09, 76.0
2.402, 37.43, 43.0
2.066, 43.82, 93.8

# 5
Calculated X-ray diffraction stick pattern
Compound: Ba5Hg2Pb5
Radiation: Cu Kα, 1.54184 Å
Structure: the PBE geometry in Alexandria
Neutral-atom scattering factors, no anomalous dispersion.

Crystal structure
```
data_Ba5Hg2Pb5
_chemical_formula_sum 'Ba10 Hg4 Pb10'
_symmetry_space_group_name_H-M 'C 1 2/m 1'
_symmetry_Int_Tables_number 12
_cell_length_a 18.0609
_cell_length_b 5.4051
_cell_length_c 11.5020
_cell_angle_alpha 90.00
_cell_angle_beta 126.52
_cell_angle_gamma 90.00
loop_
_symmetry_equiv_pos_as_xyz
'x,y,z'
'-x,-y,-z'
'-x,y,-z'
'x,-y,z'
'x+1/2,y+1/2,z'
'-x+1/2,-y+1/2,-z'
'-x+1/2,y+1/2,-z'
'x+1/2,-y+1/2,z'
loop_
_atom_site_label
_atom_site_type_symbol
_atom_site_fract_x
_atom_site_fract_y
_atom_site_fract_z
_atom_site_occupancy
Ba1 Ba 0.0000 0.0000 0.0000 1
Ba2 Ba 0.1267 0.0000 0.4360 1
Ba3 Ba 0.1715 0.0000 0.8439 1
Hg1 Hg 0.1512 0.5000 0.2197 1
Pb1 Pb 0.0000 0.5000 0.5000 1
Pb2 Pb 0.0347 0.5000 0.8234 1
Pb3 Pb 0.2403 0.5000 0.7305 1
```

Top 10 peaks for 2θ = 10–90°, by angle:
d (Å), 2theta, I (rel.)
5.065, 17.51, 22.2
4.622, 19.20, 18.8
3.142, 28.40, 23.7
3.124, 28.57, 82.0
3.108, 28.72, 40.5
3.002, 29.77, 16.7
2.884, 31.01, 100.0
2.703, 33.15, 61.8
1.593, 57.89, 17.4
1.570, 58.81, 18.2

# 6
Calculated X-ray diffraction stick pattern
Compound: Ac2AlAg2O6
Radiation: Cu Kα, 1.54184 Å
Structure: the PBE geometry in Alexandria
Neutral-atom scattering factors, no anomalous dispersion.

Crystal structure
```
data_Ac2AlAg2O6
_chemical_formula_sum 'Ac6 Al3 Ag6 O18'
_symmetry_space_group_name_H-M 'R -3 m'
_symmetry_Int_Tables_number 166
_symmetry_space_group_name_Hall '-R 3 2"'
_cell_length_a 6.1967
_cell_length_b 6.1967
_cell_length_c 15.3446
_cell_angle_alpha 90.00
_cell_angle_beta 90.00
_cell_angle_gamma 120.00
loop_
_atom_site_label
_atom_site_type_symbol
_atom_site_fract_x
_atom_site_fract_y
_atom_site_fract_z
_atom_site_occupancy
Ac1 Ac 0.0000 0.0000 0.2109 1
Al1 Al 0.0000 0.0000 0.0000 1
Ag1 Ag 0.0000 0.0000 0.4097 1
O1 O 0.0617 0.5308 0.7504 1
```

Top 10 peaks for 2θ = 10–90°, by angle:
d (Å), 2theta, I (rel.)
4.398, 20.19, 26.0
3.098, 28.81, 100.0
2.664, 33.64, 59.3
2.650, 33.83, 17.2
2.533, 35.44, 16.0
2.020, 44.87, 28.9
1.789, 51.06, 19.8
1.692, 54.20, 36.9
1.549, 59.69, 15.7
1.339, 70.29, 14.6